Structure and theoretical powder XRD pattern of YMg14Mo (a structure optimized by DFT (PBE); Cu Kα).
Peak positions follow from Bragg's law for the DFT cell and can differ from measured ones.

Main lines, low angle first (2θ from 10° to 90°):
2θ (°)	Rel. int.
18.0	27
32.7	30
35.1	39
36.4	57
37.2	100
68.9	20

Structural model:
Cell: 10.2370 6.4489 6.4489 Å, 58.16 90.00 90.00°
Positions (direct):
Y (0.0000, 0.0000, 0.0000)
Mg (0.0000, 0.0066, 0.4954)
Mg (0.0000, 0.4954, 0.0066)
Mg (0.2355, 0.6553, 0.6553)
Mg (0.2481, 0.1718, 0.6541)
Mg (0.2481, 0.6541, 0.1718)
Mg (0.2582, 0.1628, 0.1628)
Mg (0.5000, 0.4979, 0.4979)
Mg (0.5000, 0.5005, 0.9946)
Mg (0.5000, 0.9946, 0.5005)
Mg (0.5000, 0.9957, 0.9957)
Mg (0.7418, 0.1628, 0.1628)
Mg (0.7519, 0.1718, 0.6541)
Mg (0.7519, 0.6541, 0.1718)
Mg (0.7645, 0.6553, 0.6553)
Mo (0.0000, 0.4945, 0.4945)